This entry pairs a crystal structure of LiMnH6O7 with its theoretical X-ray powder pattern. Radiation: Cu Ka. Structure: DFT lattice parameters and positions (GGA+U).
Lines closer than 0.1° are merged.

```
data_LiMnH6O7
_chemical_formula_sum 'Li2 Mn2 H12 O14'
_cell_length_a 7.7690
_cell_length_b 7.7690
_cell_length_c 5.6595
_cell_angle_alpha 90.00
_cell_angle_beta 90.00
_cell_angle_gamma 120.00
_symmetry_space_group_name_H-M 'P 1'
_symmetry_Int_Tables_number 1
loop_
_symmetry_equiv_pos_as_xyz
'x,y,z'
loop_
_atom_site_label
_atom_site_fract_x
_atom_site_fract_y
_atom_site_fract_z
Li1 0.0000 0.0000 0.0000
Li2 0.0000 0.0000 0.5000
Mn1 0.3333 0.6667 0.2945
Mn2 0.6667 0.3333 0.7945
H1 0.0651 0.3314 0.7420
H2 0.0651 0.7337 0.7420
H3 0.2663 0.3314 0.7420
H4 0.2663 0.9349 0.7420
H5 0.3314 0.0651 0.2420
H6 0.3314 0.2663 0.2420
H7 0.6686 0.7337 0.7420
H8 0.6686 0.9349 0.7420
H9 0.7337 0.0651 0.2420
H10 0.7337 0.6686 0.2420
H11 0.9349 0.2663 0.2420
H12 0.9349 0.6686 0.2420
O1 0.1051 0.5525 0.2015
O2 0.1216 0.2432 0.7506
O3 0.1216 0.8784 0.7506
O4 0.2432 0.1216 0.2506
O5 0.3333 0.6667 0.5787
O6 0.4475 0.5525 0.2015
O7 0.4475 0.8949 0.2015
O8 0.5525 0.1051 0.7015
O9 0.5525 0.4475 0.7015
O10 0.6667 0.3333 0.0787
O11 0.7568 0.8784 0.7506
O12 0.8784 0.1216 0.2506
O13 0.8784 0.7568 0.2506
O14 0.8949 0.4475 0.7015
```

Top 10 peaks for 2θ = 10–90°, in order of rising 2θ:
| 2θ/deg | I (rel.) | hkl |
| --- | --- | --- |
| 13.16 | 238 | 1 0 0 |
| 20.51 | 1000 | 1 0 1 |
| 22.89 | 545 | 1 1 0 |
| 30.92 | 796 | 2 0 1 |
| 31.62 | 322 | 0 0 2 |
| 35.29 | 266 | 2 1 0 |
| 38.82 | 141 | 2 1 1 |
| 46.77 | 135 | 2 2 0 |
| 48.11 | 141 | 2 1 2 |
| 51.57 | 203 | 3 1 1 |